For TbAl11Rh, a DFT-relaxed cell (PBE, Alexandria) gives the simulated powder diffraction line list in this record (a wavelength of 1.5418 Å).
Peak positions follow from Bragg's law for the DFT cell and can differ from measured ones.

Principal peaks in the range 10 to 90 degrees two-theta, by intensity:
| 2theta | I_rel | hkl |
| --- | --- | --- |
| 14.0 | 100 | 0 2 0 |
| 19.9 | 93 | 1 1 -1 |
| 38.9 | 89 | 0 4 2 |
| 28.2 | 78 | 1 3 -1 |
| 33.4 | 68 | 1 3 1 |
| 26.6 | 66 | 1 1 1 |
| 39.5 | 66 | 2 2 0 |
| 40.4 | 60 | 2 2 -2 |
| 38.7 | 56 | 1 1 -3 |
| 40.3 | 49 | 1 5 -1 |

Atomic structure:
```
data_TbAl11Rh
_chemical_formula_sum 'Tb2 Al22 Rh2'
_symmetry_space_group_name_H-M 'C 1 2/m 1'
_symmetry_Int_Tables_number 12
_cell_length_a 5.1697
_cell_length_b 12.6619
_cell_length_c 7.1815
_cell_angle_alpha 90.00
_cell_angle_beta 108.80
_cell_angle_gamma 90.00
loop_
_symmetry_equiv_pos_as_xyz
'x,y,z'
'-x,-y,-z'
'-x,y,-z'
'x,-y,z'
'x+1/2,y+1/2,z'
'-x+1/2,-y+1/2,-z'
'-x+1/2,y+1/2,-z'
'x+1/2,-y+1/2,z'
loop_
_atom_site_label
_atom_site_type_symbol
_atom_site_fract_x
_atom_site_fract_y
_atom_site_fract_z
_atom_site_occupancy
Tb1 Tb 0.0000 0.0000 0.0000 1
Al1 Al 0.0000 0.0000 0.5000 1
Al2 Al 0.1089 0.3915 0.2254 1
Al3 Al 0.1809 0.1752 0.3579 1
Al4 Al 0.2500 0.2500 0.0000 1
Rh1 Rh 0.0000 0.5000 0.5000 1
```


For Tb4AlRh, a DFT-relaxed cell (PBE, Alexandria) gives the simulated powder diffraction line list in this record (a wavelength of 1.5418 Å).
Peak positions follow from Bragg's law for the DFT cell and can differ from measured ones.

Principal peaks in the range 10 to 90 degrees two-theta, by intensity:
| 2theta | I_rel | hkl |
| --- | --- | --- |
| 36.1 | 100 | 2 2 1 |
| 31.4 | 77 | 0 4 1 |
| 31.0 | 75 | 3 1 -1 |
| 34.1 | 65 | 2 4 -1 |
| 36.0 | 63 | 0 2 2 |
| 30.7 | 49 | 1 1 -2 |
| 12.9 | 47 | 1 1 0 |
| 24.7 | 38 | 1 1 1 |
| 35.2 | 37 | 1 5 0 |
| 39.5 | 31 | 3 3 0 |

Atomic structure:
```
data_Tb4AlRh
_chemical_formula_sum 'Tb16 Al4 Rh4'
_symmetry_space_group_name_H-M 'C 1 2/c 1'
_symmetry_Int_Tables_number 15
_cell_length_a 8.8777
_cell_length_b 13.4435
_cell_length_c 6.0198
_cell_angle_alpha 90.00
_cell_angle_beta 116.53
_cell_angle_gamma 90.00
loop_
_symmetry_equiv_pos_as_xyz
'x,y,z'
'-x,-y,-z'
'-x,y,-z+1/2'
'x,-y,z+1/2'
'x+1/2,y+1/2,z'
'-x+1/2,-y+1/2,-z'
'-x+1/2,y+1/2,-z+1/2'
'x+1/2,-y+1/2,z+1/2'
loop_
_atom_site_label
_atom_site_type_symbol
_atom_site_fract_x
_atom_site_fract_y
_atom_site_fract_z
_atom_site_occupancy
Tb1 Tb 0.1193 0.1795 0.0821 1
Tb2 Tb 0.2121 0.4313 0.3212 1
Al1 Al 0.0000 0.3722 0.7500 1
Rh1 Rh 0.0000 0.0005 0.2500 1
```


For Tb2Al9Rh3, a DFT-relaxed cell (PBE, Alexandria) gives the simulated powder diffraction line list in this record (a wavelength of 1.5418 Å).
Peak positions follow from Bragg's law for the DFT cell and can differ from measured ones.

Principal peaks in the range 10 to 90 degrees two-theta, by intensity:
| 2theta | I_rel | hkl |
| --- | --- | --- |
| 30.2 | 100 | 0 2 2 |
| 41.4 | 88 | 3 3 -1 |
| 36.9 | 74 | 3 1 2 |
| 25.3 | 54 | 3 1 0 |
| 30.1 | 52 | 3 1 -3 |
| 37.8 | 45 | 0 0 4 |
| 41.1 | 45 | 6 0 -2 |
| 57.3 | 40 | 3 3 -5 |
| 37.0 | 34 | 0 2 3 |
| 51.9 | 31 | 6 2 0 |

Atomic structure:
```
data_Tb2Al9Rh3
_chemical_formula_sum 'Tb8 Al36 Rh12'
_symmetry_space_group_name_H-M 'C 1 2/c 1'
_symmetry_Int_Tables_number 15
_cell_length_a 13.1652
_cell_length_b 7.5447
_cell_length_c 10.4796
_cell_angle_alpha 90.00
_cell_angle_beta 114.82
_cell_angle_gamma 90.00
loop_
_symmetry_equiv_pos_as_xyz
'x,y,z'
'-x,-y,-z'
'-x,y,-z+1/2'
'x,-y,z+1/2'
'x+1/2,y+1/2,z'
'-x+1/2,-y+1/2,-z'
'-x+1/2,y+1/2,-z+1/2'
'x+1/2,-y+1/2,z+1/2'
loop_
_atom_site_label
_atom_site_type_symbol
_atom_site_fract_x
_atom_site_fract_y
_atom_site_fract_z
_atom_site_occupancy
Tb1 Tb 0.1694 0.0829 0.2497 1
Al1 Al 0.0000 0.3689 0.2500 1
Al2 Al 0.0587 0.0834 0.9255 1
Al3 Al 0.1005 0.4152 0.0527 1
Al4 Al 0.1040 0.3158 0.7477 1
Al5 Al 0.2248 0.4167 0.4284 1
Rh1 Rh 0.0859 0.2424 0.5008 1
Rh2 Rh 0.2500 0.2500 0.0000 1
```


For AlTc2Rh, a DFT-relaxed cell (PBE, Alexandria) gives the simulated powder diffraction line list in this record (a wavelength of 1.5418 Å).
Peak positions follow from Bragg's law for the DFT cell and can differ from measured ones.

Principal peaks in the range 10 to 90 degrees two-theta, by intensity:
| 2theta | I_rel | hkl |
| --- | --- | --- |
| 39.9 | 100 | 1 0 4 |
| 47.1 | 61 | 0 1 8 |
| 10.4 | 35 | 0 0 3 |
| 42.3 | 28 | 0 0 12 |
| 82.6 | 23 | 1 1 12 |
| 67.1 | 21 | 1 1 0 |
| 70.6 | 17 | 1 0 16 |
| 81.0 | 12 | 0 2 4 |
| 20.8 | 10 | 0 0 6 |
| 86.0 | 10 | 2 0 8 |

Atomic structure:
```
data_AlTc2Rh
_chemical_formula_sum 'Al3 Tc6 Rh3'
_symmetry_space_group_name_H-M 'R 3 m'
_symmetry_Int_Tables_number 160
_symmetry_space_group_name_Hall 'R 3 -2"'
_cell_length_a 2.7908
_cell_length_b 2.7908
_cell_length_c 25.6211
_cell_angle_alpha 90.00
_cell_angle_beta 90.00
_cell_angle_gamma 120.00
loop_
_atom_site_label
_atom_site_type_symbol
_atom_site_fract_x
_atom_site_fract_y
_atom_site_fract_z
_atom_site_occupancy
Al1 Al 0.0000 0.0000 0.0000 1
Tc1 Tc 0.0000 0.0000 0.2480 1
Tc2 Tc 0.0000 0.0000 0.4995 1
Rh1 Rh 0.0000 0.0000 0.7453 1
```